# 1
The following is a calculated XRD peak list of TbErSiCl2. It was derived from a DFT-relaxed cell (PBE, OQMD), using Cu Ka.
Peak positions follow from Bragg's law for the DFT cell and can differ from measured ones.

Largest 10 diffraction maxima, in order of falling intensity, 2θ = 10–90°:
(hkl)  d/Å  I/Imax
0 1 2  2.829  100
1 0 1  3.291  51
1 0 4  1.978  44
1 1 0  2.023  33
1 0 0  3.504  24
1 2 2  1.276  20
2 0 2  1.645  19
0 0 2  4.793  18
2 1 4  1.159  14
1 0 3  2.361  14

Crystal structure
```
data_TbErSiCl2
_chemical_formula_sum 'Tb1 Er1 Si1 Cl2'
_cell_length_a 4.0459
_cell_length_b 4.0459
_cell_length_c 9.5860
_cell_angle_alpha 90.00
_cell_angle_beta 90.00
_cell_angle_gamma 120.00
_symmetry_space_group_name_H-M 'P 3 m 1'
_symmetry_Int_Tables_number 156
loop_
_symmetry_equiv_pos_as_xyz
'x,y,z'
'-y,x-y,z'
'-x+y,-x,z'
'-y,-x,z'
'-x+y,y,z'
'x,x-y,z'
loop_
_atom_site_label
_atom_site_type_symbol
_atom_site_fract_x
_atom_site_fract_y
_atom_site_fract_z
Tb1 Tb 0.0000 0.0000 0.0000
Er1 Er 0.3333 0.6667 0.6650
Si1 Si 0.6667 0.3333 0.8302
Cl1 Cl 0.0000 0.0000 0.5041
Cl2 Cl 0.3333 0.6667 0.1641
```

***

# 2
The following is a calculated XRD peak list of Hg. It was derived from a DFT-relaxed cell (PBE, OQMD), using Cu Ka.
Peak positions follow from Bragg's law for the DFT cell and can differ from measured ones.

Largest 7 diffraction maxima, in order of falling intensity, 2θ = 10–90°:
(hkl)  d/Å  I/Imax
1 1 1  2.777  100
2 0 0  2.405  51
3 1 1  1.450  43
2 2 0  1.701  36
3 3 1  1.104  19
2 2 2  1.389  12
4 0 0  1.203  6

Crystal structure
```
data_Hg
_chemical_formula_sum 'Hg4'
_cell_length_a 4.8105
_cell_length_b 4.8105
_cell_length_c 4.8105
_cell_angle_alpha 90.00
_cell_angle_beta 90.00
_cell_angle_gamma 90.00
_symmetry_space_group_name_H-M 'F m -3 m'
_symmetry_Int_Tables_number 225
_symmetry_space_group_name_Hall '-F 4 2 3'
loop_
_atom_site_label
_atom_site_type_symbol
_atom_site_fract_x
_atom_site_fract_y
_atom_site_fract_z
Hg1 Hg 0.0000 0.0000 0.0000
```

***

# 3
The following is a calculated XRD peak list of Nd12Re5C15. It was derived from a DFT-relaxed cell (PBE, OQMD), using Cu Ka.
Peak positions follow from Bragg's law for the DFT cell and can differ from measured ones.

Largest 10 diffraction maxima, in order of falling intensity, 2θ = 10–90°:
(hkl)  d/Å  I/Imax
2 1 1  2.986  100
3 1 0  2.644  42
0 0 2  2.669  40
3 1 2  1.878  31
3 0 1  2.730  25
2 2 1  2.446  17
2 1 3  1.595  16
1 0 1  4.657  10
6 1 1  1.403  9
3 0 3  1.552  9

Crystal structure
```
data_Nd12Re5C15
_chemical_formula_sum 'Nd12 Re5 C15'
_cell_length_a 11.0078
_cell_length_b 11.0078
_cell_length_c 5.3376
_cell_angle_alpha 90.00
_cell_angle_beta 90.00
_cell_angle_gamma 120.00
_symmetry_space_group_name_H-M 'P -6 2 m'
_symmetry_Int_Tables_number 189
_symmetry_space_group_name_Hall 'P -6 -2'
loop_
_atom_site_label
_atom_site_type_symbol
_atom_site_fract_x
_atom_site_fract_y
_atom_site_fract_z
Nd1 Nd 0.0000 0.4235 0.0000
Nd2 Nd 0.0000 0.7950 0.0000
Nd3 Nd 0.1871 0.7294 0.5000
Re1 Re 0.0000 0.1520 0.5000
Re2 Re 0.3333 0.6667 0.0000
C1 C 0.0000 0.3285 0.5000
C2 C 0.0000 0.4513 0.5000
C3 C 0.0000 0.7920 0.5000
C4 C 0.1893 0.7159 0.0000
```